LaNdSm3: simulated PXRD pattern (Cu Kα X-rays), based on the GGA-PBE geometry in Alexandria.
Peak positions follow from Bragg's law for the DFT cell and can differ from measured ones.

Structure:
```
LaNdSm3
1.0
10.3511 0.0000 0.0000
0.0000 3.6702 0.0000
0.0000 0.0000 18.3090
La Nd Sm
4 4 12
Direct
0.1255 0.2500 0.0501 La
0.3745 0.7500 0.5501 La
0.6255 0.2500 0.4499 La
0.8745 0.7500 0.9499 La
0.1226 0.2500 0.6508 Nd
0.3774 0.7500 0.1508 Nd
0.6226 0.2500 0.8492 Nd
0.8774 0.7500 0.3492 Nd
0.1238 0.2500 0.4492 Sm
0.1254 0.2500 0.2503 Sm
0.1265 0.2500 0.8492 Sm
0.3735 0.7500 0.3492 Sm
0.3746 0.7500 0.7503 Sm
0.3762 0.7500 0.9492 Sm
0.6238 0.2500 0.0508 Sm
0.6254 0.2500 0.2497 Sm
0.6265 0.2500 0.6508 Sm
0.8735 0.7500 0.1508 Sm
0.8746 0.7500 0.7497 Sm
0.8762 0.7500 0.5508 Sm
```

Largest 10 diffraction maxima, by angle, 2θ = 10–90°:
2theta	d/Å	intensity	index
29.87	2.992	100	2 1 0
34.62	2.591	51	4 0 0
49.68	1.835	6	0 2 0
49.79	1.831	30	4 1 5
59.07	1.564	14	2 2 5
59.17	1.561	29	6 1 0
62.00	1.497	6	4 2 0
62.10	1.495	6	4 0 10
80.89	1.188	15	6 2 5
83.42	1.159	8	4 2 10